Calculated powder diffractogram of TaBiSe2 for Cu Kα (weighted mean of Kα1 and Kα2), from the GGA-PBE geometry in Alexandria.
Lines closer than 0.1° are merged.

Top 8 peaks for 2θ from 10° to 90°, by angle:
18.5 deg, rel. 888
30.3 deg, rel. 1000
30.5 deg, rel. 593
38.8 deg, rel. 765
39.5 deg, rel. 375
42.9 deg, rel. 341
43.8 deg, rel. 616
52.7 deg, rel. 534

Structure:
abc: 3.469 6.017 9.785
angles: 85.50 79.86 89.94
Fractional coordinates of all 8 atoms:
Ta 0.000 0.000 0.000
Ta 0.500 0.500 0.000
Bi 0.178 0.750 0.500
Bi 0.822 0.250 0.500
Se 0.086 0.690 0.825
Se 0.412 0.810 0.175
Se 0.588 0.190 0.825
Se 0.914 0.310 0.175

=====

Calculated powder diffractogram of Tb5BiSe5 for Cu Kα (weighted mean of Kα1 and Kα2), from the GGA-PBE geometry in Alexandria.
Lines closer than 0.1° are merged.

Top 8 peaks for 2θ from 10° to 90°, by angle:
30.2 deg, rel. 922
30.3 deg, rel. 893
30.5 deg, rel. 885
43.3 deg, rel. 1000
43.4 deg, rel. 673
43.7 deg, rel. 331
53.7 deg, rel. 346
54.0 deg, rel. 355

Structure:
abc: 7.183 7.183 8.346
angles: 106.60 106.60 48.72
Fractional coordinates of all 11 atoms:
Tb 0.000 0.000 0.000
Tb 0.330 0.330 0.653
Tb 0.332 0.332 0.181
Tb 0.668 0.668 0.819
Tb 0.670 0.670 0.347
Bi 0.500 0.500 0.000
Se 0.162 0.162 0.334
Se 0.171 0.171 0.839
Se 0.500 0.500 0.500
Se 0.829 0.829 0.161
Se 0.838 0.838 0.666

=====

Calculated powder diffractogram of Tb4Bi3Se for Cu Kα (weighted mean of Kα1 and Kα2), from the GGA-PBE geometry in Alexandria.
Lines closer than 0.1° are merged.

Top 8 peaks for 2θ from 10° to 90°, by angle:
23.7 deg, rel. 33
28.7 deg, rel. 1000
41.0 deg, rel. 772
50.8 deg, rel. 278
59.4 deg, rel. 131
67.3 deg, rel. 360
74.7 deg, rel. 268
88.9 deg, rel. 90

Structure:
abc: 7.621 7.621 4.405
angles: 90.00 90.00 109.44
Fractional coordinates of all 8 atoms:
Tb 0.241 0.241 0.500
Tb 0.245 0.755 0.000
Tb 0.755 0.245 0.000
Tb 0.759 0.759 0.500
Bi 0.000 0.500 0.500
Bi 0.500 0.000 0.500
Bi 0.500 0.500 0.000
Se 0.000 0.000 0.000